Theoretical powder XRD pattern
Compound: TbAl
Radiation: Cu Kα, 1.54184 Å
Structure: DFT lattice parameters and positions (PBE)
No peak broadening, texture or thermal motion is included.

Most intense lines, 15° ≤ 2θ ≤ 90°, low angle first:
d (Å), 2theta, intensity
3.614, 24.63, 61
2.555, 35.12, 100
2.087, 43.37, 19
1.807, 50.51, 18
1.616, 56.98, 25
1.475, 63.00, 37
1.205, 79.58, 12
1.143, 84.84, 16

Crystal structure
a = 3.614 Å, b = 3.614 Å, c = 3.614 Å
α = 90.00°, β = 90.00°, γ = 90.00°
Positions (direct):
Tb 0.000 0.000 0.000
Al 0.500 0.500 0.500

---

Theoretical powder XRD pattern
Compound: SrFe2S4
Radiation: Cu Kα, 1.54184 Å
Structure: DFT lattice parameters and positions (PBE)
No peak broadening, texture or thermal motion is included.

Most intense lines, 15° ≤ 2θ ≤ 90°, low angle first:
d (Å), 2theta, intensity
5.331, 16.63, 38
4.339, 20.47, 62
3.770, 23.60, 64
2.846, 31.44, 100
2.666, 33.62, 60
2.170, 41.63, 83
1.686, 54.43, 31
1.537, 60.23, 33

Crystal structure
a = 5.955 Å, b = 5.955 Å, c = 5.955 Å
α = 101.45°, β = 101.45°, γ = 127.09°
Positions (direct):
Sr 0.000 0.000 0.000
Fe 0.000 0.500 0.500
Fe 0.500 0.000 0.500
S 0.091 0.591 0.183
S 0.409 0.909 0.817
S 0.591 0.409 0.500
S 0.909 0.091 0.500

---

Theoretical powder XRD pattern
Compound: CdIrO3
Radiation: Cu Kα, 1.54184 Å
Structure: DFT lattice parameters and positions (PBE)
No peak broadening, texture or thermal motion is included.

Most intense lines, 15° ≤ 2θ ≤ 90°, low angle first:
d (Å), 2theta, intensity
3.953, 22.49, 12
2.795, 32.02, 100
1.977, 45.91, 27
1.768, 51.71, 5
1.614, 57.07, 39
1.398, 66.95, 17
1.250, 76.15, 17
1.141, 84.99, 6

Crystal structure
a = 3.953 Å, b = 3.953 Å, c = 3.953 Å
α = 90.00°, β = 90.00°, γ = 90.00°
Positions (direct):
Cd 0.000 0.000 0.000
Ir 0.500 0.500 0.500
O 0.000 0.500 0.500
O 0.500 0.000 0.500
O 0.500 0.500 0.000

---

Theoretical powder XRD pattern
Compound: GdH2ClO2
Radiation: Cu Kα, 1.54184 Å
Structure: DFT lattice parameters and positions (PBE)
No peak broadening, texture or thermal motion is included.

Most intense lines, 15° ≤ 2θ ≤ 90°, low angle first:
d (Å), 2theta, intensity
5.354, 16.56, 38
3.653, 24.37, 54
3.248, 27.46, 34
3.166, 28.19, 46
3.090, 28.89, 100
2.428, 37.03, 72
2.186, 41.31, 33
1.813, 50.34, 36

Crystal structure
a = 6.208 Å, b = 3.785 Å, c = 6.805 Å
α = 90.00°, β = 111.49°, γ = 90.00°
Positions (direct):
Gd 0.196 0.250 0.374
Gd 0.804 0.750 0.626
H 0.193 0.250 0.800
H 0.385 0.750 0.721
H 0.615 0.250 0.279
H 0.807 0.750 0.200
Cl 0.253 0.750 0.064
Cl 0.747 0.250 0.936
O 0.068 0.250 0.661
O 0.399 0.750 0.582
O 0.601 0.250 0.418
O 0.932 0.750 0.339

---

Theoretical powder XRD pattern
Compound: Nb2SiAs2
Radiation: Cu Kα, 1.54184 Å
Structure: DFT lattice parameters and positions (PBE)
No peak broadening, texture or thermal motion is included.

Most intense lines, 15° ≤ 2θ ≤ 90°, low angle first:
d (Å), 2theta, intensity
4.502, 19.72, 6
2.702, 33.16, 100
2.317, 38.87, 4
1.910, 47.60, 70
1.560, 59.24, 23
1.351, 69.59, 11
1.208, 79.29, 29
1.103, 88.68, 22

Crystal structure
a = 2.702 Å, b = 2.702 Å, c = 13.505 Å
α = 90.00°, β = 90.00°, γ = 90.00°
Positions (direct):
Nb 0.000 0.000 0.191
Nb 0.000 0.000 0.809
Si 0.000 0.000 0.000
As 0.000 0.000 0.395
As 0.000 0.000 0.605

---

Theoretical powder XRD pattern
Compound: CrN2
Radiation: Cu Kα, 1.54184 Å
Structure: DFT lattice parameters and positions (PBE)
No peak broadening, texture or thermal motion is included.

Most intense lines, 15° ≤ 2θ ≤ 90°, low angle first:
d (Å), 2theta, intensity
4.446, 19.97, 26
4.377, 20.29, 94
4.351, 20.41, 100
4.273, 20.79, 89
3.483, 25.58, 85
2.729, 32.82, 56
2.471, 36.36, 25
2.114, 42.78, 22

Crystal structure
a = 5.489 Å, b = 5.489 Å, c = 9.458 Å
α = 112.22°, β = 112.22°, γ = 56.10°
Positions (direct):
Cr 0.057 0.317 0.313
Cr 0.317 0.057 0.813
Cr 0.683 0.943 0.187
Cr 0.943 0.683 0.687
N 0.000 0.500 0.500
N 0.027 0.973 0.750
N 0.178 0.428 0.804
N 0.428 0.178 0.304
N 0.500 0.000 0.000
N 0.572 0.822 0.696
N 0.822 0.572 0.196
N 0.973 0.027 0.250

---

Theoretical powder XRD pattern
Compound: La2CuGe6
Radiation: Cu Kα, 1.54184 Å
Structure: DFT lattice parameters and positions (PBE)
No peak broadening, texture or thermal motion is included.

Most intense lines, 15° ≤ 2θ ≤ 90°, low angle first:
d (Å), 2theta, intensity
2.788, 32.10, 35
2.758, 32.46, 100
2.472, 36.35, 15
2.129, 42.45, 19
2.114, 42.78, 24
2.087, 43.35, 24
1.672, 54.91, 14
1.485, 62.54, 18

Crystal structure
a = 4.228 Å, b = 11.333 Å, c = 11.333 Å
α = 21.23°, β = 90.00°, γ = 90.00°
Positions (direct):
La 0.000 0.000 0.000
La 0.000 0.331 0.331
Cu 0.500 0.774 0.774
Ge 0.000 0.607 0.607
Ge 0.000 0.718 0.718
Ge 0.500 0.106 0.106
Ge 0.500 0.217 0.217
Ge 0.500 0.449 0.449
Ge 0.500 0.883 0.883

---

Theoretical powder XRD pattern
Compound: EuAgGe
Radiation: Cu Kα, 1.54184 Å
Structure: DFT lattice parameters and positions (PBE)
No peak broadening, texture or thermal motion is included.

Most intense lines, 15° ≤ 2θ ≤ 90°, low angle first:
d (Å), 2theta, intensity
2.819, 31.74, 42
2.787, 32.12, 72
2.773, 32.29, 40
2.754, 32.52, 100
2.708, 33.08, 28
2.341, 38.45, 57
2.288, 39.39, 84
1.789, 51.05, 21

Crystal structure
a = 5.903 Å, b = 5.903 Å, c = 7.641 Å
α = 129.16°, β = 129.16°, γ = 46.74°
Positions (direct):
Eu 0.038 0.038 0.292
Eu 0.962 0.962 0.708
Ag 0.326 0.326 0.273
Ag 0.674 0.674 0.727
Ge 0.345 0.345 0.893
Ge 0.655 0.655 0.107

---

Theoretical powder XRD pattern
Compound: Dy13Mg7Co4
Radiation: Cu Kα, 1.54184 Å
Structure: DFT lattice parameters and positions (PBE)
No peak broadening, texture or thermal motion is included.

Most intense lines, 15° ≤ 2θ ≤ 90°, low angle first:
d (Å), 2theta, intensity
3.083, 28.96, 64
2.740, 32.69, 74
2.581, 34.76, 100
2.572, 34.88, 34
2.376, 37.86, 26
2.361, 38.11, 27
1.584, 58.25, 33
1.574, 58.65, 30

Crystal structure
a = 9.445 Å, b = 9.445 Å, c = 9.445 Å
α = 60.43°, β = 60.43°, γ = 60.43°
Positions (direct):
Dy 0.000 0.000 0.000
Dy 0.217 0.217 0.596
Dy 0.217 0.596 0.217
Dy 0.465 0.465 0.844
Dy 0.465 0.844 0.465
Dy 0.467 0.844 0.844
Dy 0.596 0.217 0.217
Dy 0.623 0.997 0.997
Dy 0.844 0.465 0.465
Dy 0.844 0.467 0.844
Dy 0.844 0.844 0.467
Dy 0.997 0.623 0.997
Dy 0.997 0.997 0.623
Mg 0.214 0.594 0.594
Mg 0.235 0.235 0.235
Mg 0.238 0.238 0.911
Mg 0.238 0.911 0.238
Mg 0.594 0.214 0.594
Mg 0.594 0.594 0.214
Mg 0.911 0.238 0.238
Co 0.239 0.796 0.796
Co 0.795 0.795 0.795
Co 0.796 0.239 0.796
Co 0.796 0.796 0.239

---

Theoretical powder XRD pattern
Compound: Al2Te2Cl7
Radiation: Cu Kα, 1.54184 Å
Structure: DFT lattice parameters and positions (PBE)
No peak broadening, texture or thermal motion is included.

Most intense lines, 15° ≤ 2θ ≤ 90°, low angle first:
d (Å), 2theta, intensity
5.213, 17.01, 64
5.064, 17.51, 100
4.289, 20.71, 31
3.964, 22.43, 99
3.893, 22.84, 29
3.646, 24.41, 32
3.620, 24.59, 38
2.879, 31.06, 43

Crystal structure
a = 8.699 Å, b = 11.307 Å, c = 12.475 Å
α = 93.14°, β = 93.65°, γ = 99.21°
Positions (direct):
Al 0.115 0.335 0.201
Al 0.306 0.912 0.345
Al 0.694 0.088 0.655
Al 0.885 0.665 0.799
Te 0.361 0.953 0.970
Te 0.430 0.397 0.460
Te 0.570 0.603 0.540
Te 0.639 0.047 0.030
Cl 0.028 0.539 0.848
Cl 0.029 0.155 0.135
Cl 0.108 0.328 0.381
Cl 0.260 0.774 0.225
Cl 0.294 0.871 0.506
Cl 0.358 0.382 0.172
Cl 0.363 0.088 0.304
Cl 0.637 0.912 0.696
Cl 0.642 0.618 0.828
Cl 0.706 0.129 0.494
Cl 0.740 0.226 0.775
Cl 0.892 0.672 0.619
Cl 0.971 0.845 0.865
Cl 0.972 0.461 0.152